No. 1
Structure and computed XRD peak list of CaGa9Ir2 (a GGA-PBE-relaxed structure; λ = 1.5418 Å (Cu Kα)).

Top 8 peaks for 10 to 90 degrees two-theta, by intensity:
two_theta	d_spacing	intensity
12.4	7.124	100.0
40.8	2.211	78.4
31.7	2.819	70.7
44.0	2.057	57.9
44.8	2.024	41.5
66.3	1.410	33.5
21.6	4.113	31.1
46.9	1.936	24.1

Structure:
Unit cell a=8.226 b=8.226 c=3.872 alpha=90.00 beta=90.00 gamma=120.00
Element x y z (fractional)
Ca (0.000, 0.000, 0.000)
Ga (0.000, 0.500, 0.000)
Ga (0.200, 0.400, 0.500)
Ga (0.200, 0.800, 0.500)
Ga (0.400, 0.200, 0.500)
Ga (0.500, 0.000, 0.000)
Ga (0.500, 0.500, 0.000)
Ga (0.600, 0.800, 0.500)
Ga (0.800, 0.200, 0.500)
Ga (0.800, 0.600, 0.500)
Ir (0.333, 0.667, 0.000)
Ir (0.667, 0.333, 0.000)

No. 2
Structure and computed XRD peak list of Ca3Ga2Ir (a GGA-PBE-relaxed structure; λ = 1.5418 Å (Cu Kα)).

Top 8 peaks for 10 to 90 degrees two-theta, by intensity:
two_theta	d_spacing	intensity
16.6	5.350	100.0
10.4	8.495	99.6
16.4	5.396	86.9
37.3	2.408	65.6
30.3	2.954	63.1
39.3	2.291	63.0
34.0	2.638	62.6
41.6	2.169	44.8

Structure:
Unit cell a=11.928 b=4.339 c=12.100 alpha=90.00 beta=90.00 gamma=90.00
Element x y z (fractional)
Ca (0.059, 0.250, 0.120)
Ca (0.113, 0.750, 0.550)
Ca (0.216, 0.250, 0.791)
Ca (0.284, 0.750, 0.291)
Ca (0.387, 0.250, 0.050)
Ca (0.441, 0.750, 0.620)
Ca (0.559, 0.250, 0.380)
Ca (0.613, 0.750, 0.950)
Ca (0.716, 0.250, 0.709)
Ca (0.784, 0.750, 0.209)
Ca (0.887, 0.250, 0.450)
Ca (0.941, 0.750, 0.880)
Ga (0.030, 0.750, 0.310)
Ga (0.204, 0.750, 0.985)
Ga (0.296, 0.250, 0.485)
Ga (0.470, 0.250, 0.810)
Ga (0.530, 0.750, 0.190)
Ga (0.704, 0.750, 0.515)
Ga (0.796, 0.250, 0.015)
Ga (0.970, 0.250, 0.690)
Ir (0.124, 0.250, 0.363)
Ir (0.376, 0.750, 0.863)
Ir (0.624, 0.250, 0.137)
Ir (0.876, 0.750, 0.637)

No. 3
Structure and computed XRD peak list of Ca3GaIr2 (a GGA-PBE-relaxed structure; λ = 1.5418 Å (Cu Kα)).

Top 8 peaks for 10 to 90 degrees two-theta, by intensity:
two_theta	d_spacing	intensity
21.1	4.205	100.0
42.6	2.124	57.4
37.0	2.428	53.7
70.5	1.335	25.1
57.7	1.599	23.2
43.0	2.103	16.5
58.0	1.589	14.0
53.0	1.728	12.9

Structure:
Unit cell a=6.914 b=6.914 c=6.914 alpha=74.92 beta=74.92 gamma=74.92
Element x y z (fractional)
Ca (0.069, 0.750, 0.431)
Ca (0.250, 0.569, 0.931)
Ca (0.431, 0.069, 0.750)
Ca (0.569, 0.931, 0.250)
Ca (0.750, 0.431, 0.069)
Ca (0.931, 0.250, 0.569)
Ga (0.000, 0.000, 0.000)
Ga (0.500, 0.500, 0.500)
Ir (0.163, 0.163, 0.163)
Ir (0.337, 0.337, 0.337)
Ir (0.663, 0.663, 0.663)
Ir (0.837, 0.837, 0.837)

No. 4
Structure and computed XRD peak list of LiCa2Ga2Ir (a GGA-PBE-relaxed structure; λ = 1.5418 Å (Cu Kα)).

Top 8 peaks for 10 to 90 degrees two-theta, by intensity:
two_theta	d_spacing	intensity
15.6	5.668	100.0
13.0	6.835	84.0
41.1	2.196	43.6
39.1	2.302	36.0
39.3	2.294	36.0
24.2	3.678	31.4
33.0	2.717	26.9
33.2	2.697	22.3

Structure:
Unit cell a=8.124 b=8.124 c=8.124 alpha=134.91 beta=65.44 gamma=135.20
Element x y z (fractional)
Li (0.250, 0.250, 0.000)
Li (0.750, 0.750, 0.000)
Ca (0.162, 0.749, 0.910)
Ca (0.338, 0.249, 0.587)
Ca (0.662, 0.751, 0.413)
Ca (0.838, 0.251, 0.090)
Ga (0.098, 0.263, 0.361)
Ga (0.402, 0.763, 0.165)
Ga (0.598, 0.237, 0.835)
Ga (0.902, 0.737, 0.639)
Ir (0.250, 0.750, 0.500)
Ir (0.750, 0.250, 0.500)

No. 5
Structure and computed XRD peak list of CaNdGaIr (a GGA-PBE-relaxed structure; λ = 1.5418 Å (Cu Kα)).

Top 8 peaks for 10 to 90 degrees two-theta, by intensity:
two_theta	d_spacing	intensity
31.5	2.843	100.0
15.5	5.710	78.1
38.7	2.325	72.9
38.4	2.343	35.0
31.7	2.822	30.0
43.0	2.103	22.7
44.2	2.049	21.0
59.0	1.565	19.9

Structure:
Unit cell a=4.099 b=6.085 c=6.085 alpha=40.44 beta=90.00 gamma=90.00
Element x y z (fractional)
Ca (0.000, 0.000, 0.000)
Nd (0.500, 0.287, 0.287)
Ga (0.500, 0.583, 0.583)
Ir (0.000, 0.719, 0.719)

No. 6
Structure and computed XRD peak list of CaGa2IrRh (a GGA-PBE-relaxed structure; λ = 1.5418 Å (Cu Kα)).

Top 8 peaks for 10 to 90 degrees two-theta, by intensity:
two_theta	d_spacing	intensity
34.4	2.603	100.0
17.7	5.002	79.1
41.9	2.156	62.5
47.0	1.934	61.6
34.0	2.638	29.3
45.8	1.980	28.4
22.5	3.960	26.8
80.2	1.197	25.7

Structure:
Unit cell a=5.858 b=5.858 c=5.858 alpha=136.81 beta=136.81 gamma=62.72
Element x y z (fractional)
Ca (0.000, 0.000, 0.000)
Ga (0.371, 0.371, 0.000)
Ga (0.629, 0.629, 0.000)
Ir (0.250, 0.750, 0.500)
Rh (0.750, 0.250, 0.500)

No. 7
Structure and computed XRD peak list of Ca2ZnGaIr2 (a GGA-PBE-relaxed structure; λ = 1.5418 Å (Cu Kα)).

Top 8 peaks for 10 to 90 degrees two-theta, by intensity:
two_theta	d_spacing	intensity
24.7	3.605	100.0
39.9	2.260	86.0
42.8	2.112	50.1
12.8	6.915	48.1
33.5	2.675	37.3
50.0	1.825	34.7
44.8	2.022	29.5
29.9	2.992	18.4

Structure:
Unit cell a=8.103 b=8.103 c=8.103 alpha=136.82 beta=62.84 gamma=136.66
Element x y z (fractional)
Ca (0.172, 0.245, 0.417)
Ca (0.328, 0.745, 0.073)
Ca (0.672, 0.255, 0.927)
Ca (0.828, 0.755, 0.583)
Zn (0.250, 0.250, 0.000)
Zn (0.750, 0.750, 0.000)
Ga (0.250, 0.750, 0.500)
Ga (0.750, 0.250, 0.500)
Ir (0.105, 0.740, 0.845)
Ir (0.395, 0.240, 0.635)
Ir (0.605, 0.760, 0.365)
Ir (0.895, 0.260, 0.155)

No. 8
Structure and computed XRD peak list of CaZnGa4Ir2 (a GGA-PBE-relaxed structure; λ = 1.5418 Å (Cu Kα)).

Top 8 peaks for 10 to 90 degrees two-theta, by intensity:
two_theta	d_spacing	intensity
42.0	2.153	100.0
44.5	2.035	57.6
36.1	2.487	54.4
29.2	3.058	30.7
24.8	3.592	27.4
78.5	1.219	21.6
19.9	4.452	20.7
62.8	1.479	20.5

Structure:
Unit cell a=9.244 b=9.244 c=9.244 alpha=26.94 beta=26.94 gamma=26.94
Element x y z (fractional)
Ca (0.000, 0.000, 0.000)
Zn (0.500, 0.500, 0.500)
Ga (0.128, 0.128, 0.128)
Ga (0.400, 0.400, 0.400)
Ga (0.600, 0.600, 0.600)
Ga (0.872, 0.872, 0.872)
Ir (0.228, 0.228, 0.228)
Ir (0.772, 0.772, 0.772)